# Ac19Co6Cu4
Simulated powder diffraction line list, CuKα. Input: the GGA-PBE geometry in Alexandria.
Intensities are scaled so that the largest is 100.

Atomic structure:
Lattice parameters (Å, degrees): 10.7127 10.7127 10.7127 109.47 109.47 109.47
Fractional positions:
Ac  0.0000  0.0000  0.0000
Ac  0.0000  0.2890  0.2890
Ac  0.0000  0.7110  0.7110
Ac  0.0464  0.6431  0.2701
Ac  0.2237  0.5967  0.9536
Ac  0.2701  0.0464  0.6431
Ac  0.2890  0.0000  0.2890
Ac  0.2890  0.2890  0.0000
Ac  0.3569  0.4033  0.6270
Ac  0.3730  0.7763  0.7299
Ac  0.4033  0.6270  0.3569
Ac  0.5967  0.9536  0.2237
Ac  0.6270  0.3569  0.4033
Ac  0.6431  0.2701  0.0464
Ac  0.7110  0.0000  0.7110
Ac  0.7110  0.7110  0.0000
Ac  0.7299  0.3730  0.7763
Ac  0.7763  0.7299  0.3730
Ac  0.9536  0.2237  0.5967
Co  0.1082  0.5000  0.6082
Co  0.3918  0.8918  0.5000
Co  0.5000  0.3918  0.8918
Co  0.5000  0.6082  0.1082
Co  0.6082  0.1082  0.5000
Co  0.8918  0.5000  0.3918
Cu  0.0000  0.0000  0.3266
Cu  0.0000  0.3266  0.0000
Cu  0.3266  0.0000  0.0000
Cu  0.6734  0.6734  0.6734

Peak list (10 most intense, 10° ≤ 2θ ≤ 90°, most intense first)
| Position (°2θ) | d [Å] | I (rel.) |
| --- | --- | --- |
| 30.66 | 2.916 | 100 |
| 26.97 | 3.306 | 51 |
| 22.73 | 3.912 | 34 |
| 37.06 | 2.426 | 34 |
| 52.30 | 1.749 | 25 |
| 58.78 | 1.571 | 23 |
| 32.37 | 2.766 | 17 |
| 42.62 | 2.121 | 15 |
| 64.84 | 1.438 | 15 |
| 81.63 | 1.179 | 14 |

# TlV5S8
Simulated powder diffraction line list, CuKα. Input: the GGA-PBE geometry in Alexandria.
Intensities are scaled so that the largest is 100.

Atomic structure:
Lattice parameters (Å, degrees): 8.9084 8.9084 8.5478 104.33 104.33 21.02
Fractional positions:
Tl  0.0000  0.0000  0.0000
V  0.1478  0.1478  0.4974
V  0.2110  0.2110  0.8590
V  0.5000  0.5000  0.5000
V  0.7890  0.7890  0.1410
V  0.8522  0.8522  0.5026
S  0.0739  0.0739  0.6802
S  0.2587  0.2587  0.3399
S  0.3398  0.3398  0.9995
S  0.4150  0.4150  0.6800
S  0.5850  0.5850  0.3200
S  0.6602  0.6602  0.0005
S  0.7413  0.7413  0.6601
S  0.9261  0.9261  0.3198

Peak list (10 most intense, 10° ≤ 2θ ≤ 90°, most intense first)
| Position (°2θ) | d [Å] | I (rel.) |
| --- | --- | --- |
| 34.90 | 2.570 | 100 |
| 20.99 | 4.232 | 94 |
| 21.47 | 4.139 | 77 |
| 42.92 | 2.107 | 76 |
| 36.25 | 2.478 | 50 |
| 33.61 | 2.667 | 50 |
| 55.00 | 1.670 | 48 |
| 30.49 | 2.932 | 39 |
| 43.08 | 2.100 | 38 |
| 10.44 | 8.477 | 37 |

# Pm2PrSm3
Simulated powder diffraction line list, CuKα. Input: the GGA-PBE geometry in Alexandria.
Intensities are scaled so that the largest is 100.

Atomic structure:
Lattice parameters (Å, degrees): 8.9660 8.9660 8.9660 101.90 95.85 133.79
Fractional positions:
Pm  0.2108  0.2440  0.4548
Pm  0.2892  0.7440  0.0332
Pm  0.7108  0.2560  0.9668
Pm  0.7892  0.7560  0.5452
Pr  0.0000  0.5000  0.5000
Pr  0.5000  0.0000  0.5000
Sm  0.0128  0.7500  0.2628
Sm  0.2500  0.2500  0.0000
Sm  0.4872  0.7500  0.7372
Sm  0.5128  0.2500  0.2628
Sm  0.7500  0.7500  0.0000
Sm  0.9872  0.2500  0.7372

Peak list (10 most intense, 10° ≤ 2θ ≤ 90°, most intense first)
| Position (°2θ) | d [Å] | I (rel.) |
| --- | --- | --- |
| 33.51 | 2.674 | 100 |
| 29.92 | 2.987 | 81 |
| 31.68 | 2.824 | 76 |
| 29.74 | 3.004 | 63 |
| 15.69 | 5.649 | 47 |
| 44.00 | 2.058 | 43 |
| 14.74 | 6.008 | 42 |
| 34.85 | 2.574 | 41 |
| 27.57 | 3.236 | 39 |
| 42.69 | 2.118 | 35 |